(1)
# SrAc3Sn
Simulated X-ray powder pattern, CuKα. Input: a structure optimized by DFT (GGA-PBE).

Cell and atoms:
```
data_SrAc3Sn
_chemical_formula_sum 'Sr4 Ac12 Sn4'
_symmetry_space_group_name_H-M 'P 1 21/c 1'
_symmetry_Int_Tables_number 14
_symmetry_space_group_name_Hall '-P 2ybc'
_cell_length_a 9.8194
_cell_length_b 6.7422
_cell_length_c 13.0613
_cell_angle_alpha 90.00
_cell_angle_beta 95.36
_cell_angle_gamma 90.00
loop_
_atom_site_label
_atom_site_fract_x
_atom_site_fract_y
_atom_site_fract_z
_atom_site_occupancy
Sr1 0.1497 0.0043 0.2645 1
Ac1 0.1747 0.5408 0.4386 1
Ac2 0.2069 0.0314 0.5865 1
Ac3 0.5003 0.1456 0.8460 1
Sn1 0.4434 0.6464 0.9113 1
```

Most intense lines, 10 to 90 degrees two-theta, in order of rising 2θ:
d/Å, 2θ (°), intensity, h k l
3.506, 25.41, 26, 1 1 -3
3.371, 26.44, 22, 0 2 0
3.332, 26.76, 100, 1 1 3
3.266, 27.31, 20, 0 2 1
3.258, 27.38, 81, 3 0 0
3.117, 28.64, 31, 1 2 -1
3.039, 29.39, 76, 2 1 -3
2.775, 32.26, 26, 2 2 0
2.685, 33.37, 24, 2 2 1
1.971, 46.04, 21, 1 3 -3


(2)
# Ba2Tl4Pd3
Simulated X-ray powder pattern, CuKα. Input: a structure optimized by DFT (GGA-PBE).

Cell and atoms:
```
data_Ba2Tl4Pd3
_chemical_formula_sum 'Ba8 Tl16 Pd12'
_symmetry_space_group_name_H-M 'F m m m'
_symmetry_Int_Tables_number 69
_symmetry_space_group_name_Hall '-F 2 2'
_cell_length_a 6.0796
_cell_length_b 10.5596
_cell_length_c 15.0992
_cell_angle_alpha 90.00
_cell_angle_beta 90.00
_cell_angle_gamma 90.00
loop_
_atom_site_label
_atom_site_fract_x
_atom_site_fract_y
_atom_site_fract_z
_atom_site_occupancy
Ba1 0.0000 0.0000 0.1248 1
Tl1 0.0000 0.1665 0.3462 1
Pd1 0.0000 0.0000 0.5000 1
Pd2 0.2500 0.2500 0.0000 1
```

Most intense lines, 10 to 90 degrees two-theta, in order of rising 2θ:
d/Å, 2θ (°), intensity, h k l
3.775, 23.57, 16, 0 0 4
3.040, 29.38, 30, 2 0 0
2.986, 29.92, 36, 1 3 1
2.606, 34.41, 100, 1 3 3
2.517, 35.68, 21, 0 0 6
2.489, 36.09, 25, 0 4 2
2.368, 38.01, 31, 2 0 4
1.760, 51.95, 23, 0 6 0
1.658, 55.41, 26, 3 3 3
1.523, 60.82, 16, 2 6 0


(3)
# ZnGa4Rh
Simulated X-ray powder pattern, CuKα. Input: a structure optimized by DFT (GGA-PBE).

Cell and atoms:
```
data_ZnGa4Rh
_chemical_formula_sum 'Zn4 Ga16 Rh4'
_symmetry_space_group_name_H-M 'I 4/m c m'
_symmetry_Int_Tables_number 140
_symmetry_space_group_name_Hall '-I 4 2c'
_cell_length_a 6.3215
_cell_length_b 6.3215
_cell_length_c 10.0887
_cell_angle_alpha 90.00
_cell_angle_beta 90.00
_cell_angle_gamma 90.00
loop_
_atom_site_label
_atom_site_fract_x
_atom_site_fract_y
_atom_site_fract_z
_atom_site_occupancy
Zn1 0.0000 0.0000 0.0000 1
Ga1 0.1512 0.3488 0.1388 1
Rh1 0.0000 0.0000 0.2500 1
```

Most intense lines, 10 to 90 degrees two-theta, in order of rising 2θ:
d/Å, 2θ (°), intensity, h k l
5.044, 17.58, 19, 0 0 2
4.470, 19.86, 24, 1 1 0
2.722, 32.90, 91, 2 1 1
2.235, 40.36, 26, 2 2 0
2.197, 41.09, 84, 1 1 4
2.164, 41.74, 84, 2 1 3
1.999, 45.37, 100, 3 1 0
1.971, 46.04, 58, 2 0 4
1.339, 70.29, 35, 4 0 4
1.283, 73.85, 55, 3 3 4